Calculated XRD peak list of RbMg6BO7 for copper Kα, from the PBE geometry in the Materials Project.
Lines closer than 0.1° are merged.

Crystal structure
a = 4.8128 Å, b = 4.8128 Å, c = 7.8565 Å
α = 90.00°, β = 90.00°, γ = 90.00°
Space group P4mm (No. 99)
Inequivalent atoms, fractional coordinates:
Rb  0.0000  0.0000  0.0000 [1 per cell]
Mg  0.0000  0.5000  0.2079 [2 per cell]
Mg  0.0000  0.5000  0.6910 [2 per cell]
Mg  0.5000  0.5000  0.4476 [1 per cell]
Mg  0.5000  0.5000  0.9436 [1 per cell]
B  0.0000  0.0000  0.4496 [1 per cell]
O  0.0000  0.0000  0.6226 [1 per cell]
O  0.0000  0.5000  0.4470 [2 per cell]
O  0.0000  0.5000  0.9447 [2 per cell]
O  0.5000  0.5000  0.1947 [1 per cell]
O  0.5000  0.5000  0.6963 [1 per cell]

Main lines, in order of rising 2θ (2θ = 10–80°):
11.3°, d = 7.857 Å, I 23, hkl 0 0 1
21.7°, d = 4.104 Å, I 26, hkl 1 0 1
28.6°, d = 3.123 Å, I 16, hkl 1 1 1
29.3°, d = 3.043 Å, I 21, hkl 1 0 2
34.9°, d = 2.572 Å, I 36, hkl 1 1 2
37.4°, d = 2.406 Å, I 100, hkl 2 0 0
39.2°, d = 2.301 Å, I 17, hkl 1 0 3
43.6°, d = 2.076 Å, I 16, hkl 1 1 3
46.2°, d = 1.964 Å, I 15, hkl 0 0 4
53.9°, d = 1.702 Å, I 34, hkl 2 2 0
60.9°, d = 1.522 Å, I 25, hkl 2 0 4
65.8°, d = 1.419 Å, I 14, hkl 3 1 2